# 1
Computed powder diffractogram
Compound: RbSn5Au3
Radiation: Cu Kα X-rays
Structure: a PBE-relaxed structure
Neutral-atom scattering factors, no anomalous dispersion.

Top 10 peaks for 15 to 90 degrees two-theta, sorted by position:
21.41 deg, I 33
23.86 deg, I 28
27.41 deg, I 39
29.03 deg, I 100
33.58 deg, I 33
35.93 deg, I 39
36.73 deg, I 52
37.47 deg, I 72
39.64 deg, I 40
40.08 deg, I 61

Atomic structure:
```
data_RbSn5Au3
_space_group_name_H-M_alt 'C m c m'
_space_group_IT_number 63
_space_group_name_Hall '-C 2c 2'
_cell_length_a 4.4990
_cell_length_b 15.3580
_cell_length_c 14.8480
_cell_angle_alpha 90.00
_cell_angle_beta 90.00
_cell_angle_gamma 90.00
loop_
_atom_site_label
_atom_site_type_symbol
_atom_site_fract_x
_atom_site_fract_y
_atom_site_fract_z
Rb1 Rb 0.0000 0.1662 0.2500
Sn1 Sn 0.0000 0.0000 0.0000
Sn2 Sn 0.0000 0.1950 0.5744
Sn3 Sn 0.0000 0.4648 0.1468
Au1 Au 0.0000 0.1228 0.7500
Au2 Au 0.0000 0.3725 0.5334
```

# 2
Computed powder diffractogram
Compound: MgCr5Se8
Radiation: Cu Kα X-rays
Structure: a PBE-relaxed structure
Neutral-atom scattering factors, no anomalous dispersion.

Top 10 peaks for 15 to 90 degrees two-theta, sorted by position:
27.66 deg, I 25
28.92 deg, I 57
33.52 deg, I 100
43.99 deg, I 33
48.13 deg, I 96
57.13 deg, I 20
59.92 deg, I 21
70.43 deg, I 13
80.29 deg, I 23
89.87 deg, I 25

Atomic structure:
```
data_MgCr5Se8
_space_group_name_H-M_alt 'F -4 3 m'
_space_group_IT_number 216
_space_group_name_Hall 'F -4 2 3'
_cell_length_a 10.6946
_cell_length_b 10.6946
_cell_length_c 10.6946
_cell_angle_alpha 90.00
_cell_angle_beta 90.00
_cell_angle_gamma 90.00
loop_
_atom_site_label
_atom_site_type_symbol
_atom_site_fract_x
_atom_site_fract_y
_atom_site_fract_z
Mg1 Mg 0.0000 0.0000 0.0000
Cr1 Cr 0.1251 0.1251 0.3749
Cr2 Cr 0.2500 0.2500 0.7500
Se1 Se 0.1152 0.1152 0.6152
Se2 Se 0.1378 0.1378 0.1378
```

# 3
Computed powder diffractogram
Compound: LiCeAlH6
Radiation: Cu Kα X-rays
Structure: a PBE-relaxed structure
Neutral-atom scattering factors, no anomalous dispersion.

Top 10 peaks for 15 to 90 degrees two-theta, sorted by position:
19.44 deg, I 24
23.28 deg, I 59
30.51 deg, I 100
40.91 deg, I 26
45.67 deg, I 15
46.33 deg, I 21
51.88 deg, I 23
58.15 deg, I 19
66.08 deg, I 11
68.10 deg, I 20

Atomic structure:
```
data_LiCeAlH6
_space_group_name_H-M_alt 'P -6 m 2'
_space_group_IT_number 187
_space_group_name_Hall 'P -6 2'
_cell_length_a 4.4120
_cell_length_b 4.4120
_cell_length_c 4.5660
_cell_angle_alpha 90.00
_cell_angle_beta 90.00
_cell_angle_gamma 120.00
loop_
_atom_site_label
_atom_site_type_symbol
_atom_site_fract_x
_atom_site_fract_y
_atom_site_fract_z
Li1 Li 0.0000 0.0000 0.0000
Ce1 Ce 0.6667 0.3333 0.5000
Al1 Al 0.3333 0.6667 0.0000
H1 H 0.1682 0.3363 0.2731
```

# 4
Computed powder diffractogram
Compound: K11PbAu2
Radiation: Cu Kα X-rays
Structure: a PBE-relaxed structure
Neutral-atom scattering factors, no anomalous dispersion.

Top 10 peaks for 15 to 90 degrees two-theta, sorted by position:
15.24 deg, I 98
15.73 deg, I 100
27.66 deg, I 48
27.84 deg, I 65
28.17 deg, I 56
28.66 deg, I 88
29.69 deg, I 37
29.88 deg, I 53
30.52 deg, I 65
42.02 deg, I 55

Atomic structure:
```
data_K11PbAu2
_space_group_name_H-M_alt 'I b a m'
_space_group_IT_number 72
_space_group_name_Hall '-I 2 2c'
_cell_length_a 12.8827
_cell_length_b 16.1002
_cell_length_c 16.8129
_cell_angle_alpha 90.00
_cell_angle_beta 90.00
_cell_angle_gamma 90.00
loop_
_atom_site_label
_atom_site_type_symbol
_atom_site_fract_x
_atom_site_fract_y
_atom_site_fract_z
K1 K 0.0000 0.0000 0.0000
K2 K 0.1030 0.3143 0.1498
K3 K 0.1299 0.2167 0.5000
K4 K 0.2233 0.4398 0.3687
Pb1 Pb 0.0000 0.5000 0.2500
Au1 Au 0.1410 0.1785 0.0000
```

- Number 4 is which compound?
  K11PbAu2